Entry 1:
Dy4CoSeS2: calculated PXRD pattern (copper Kα), based on a PBE-relaxed structure.
Lines closer than 0.1° are merged.

Main lines, sorted by position (2θ = 10–80°):
| d [Å] | two_theta | intensity |
| --- | --- | --- |
| 3.317 | 26.9 | 12 |
| 3.294 | 27.1 | 13 |
| 3.190 | 28.0 | 24 |
| 2.811 | 31.8 | 100 |
| 2.042 | 44.4 | 13 |
| 1.994 | 45.5 | 23 |
| 1.983 | 45.7 | 24 |
| 1.595 | 57.8 | 12 |

Structural model:
Unit cell a=6.9309 b=3.8709 c=6.9798 alpha=90.00 beta=108.09 gamma=90.00
Atoms (fractional coordinates):
Dy  0.2394  0.0000  0.2314
Dy  0.2473  0.5000  0.7709
Dy  0.7527  0.5000  0.2291
Dy  0.7606  0.0000  0.7686
Co  0.0000  0.5000  0.0000
Se  0.0000  0.0000  0.5000
S  0.5000  0.0000  0.0000
S  0.5000  0.5000  0.5000

Entry 2:
TbSm3Mg: calculated PXRD pattern (copper Kα), based on a PBE-relaxed structure.
Lines closer than 0.1° are merged.

Main lines, sorted by position (2θ = 10–80°):
| d [Å] | two_theta | intensity |
| --- | --- | --- |
| 2.969 | 30.1 | 49 |
| 2.846 | 31.4 | 59 |
| 2.786 | 32.1 | 100 |
| 2.742 | 32.7 | 95 |
| 2.092 | 43.2 | 20 |
| 1.614 | 57.1 | 18 |
| 1.581 | 58.4 | 19 |
| 1.562 | 59.2 | 20 |

Structural model:
Unit cell a=6.7791 b=6.7791 c=12.9900 alpha=93.01 beta=93.01 gamma=31.99
Atoms (fractional coordinates):
Tb  0.2299  0.2299  0.2566
Tb  0.7701  0.7701  0.7434
Sm  0.0393  0.0393  0.6888
Sm  0.1495  0.1495  0.9410
Sm  0.3656  0.3656  0.5262
Sm  0.6344  0.6344  0.4738
Sm  0.8505  0.8505  0.0590
Sm  0.9607  0.9607  0.3112
Mg  0.4405  0.4405  0.8738
Mg  0.5595  0.5595  0.1262